1.
Simulated XRD peak list of Ac2Pa3N8 for copper Kα, from a PBE-relaxed structure.
Neutral-atom scattering factors, no anomalous dispersion.

Top 10 peaks for 10 to 80 degrees two-theta, by angle:
2θ/deg, intensity
12.61, 38.6
14.77, 19.5
25.38, 24.8
28.31, 19.0
28.60, 37.0
28.71, 40.7
29.74, 100.0
32.67, 53.3
46.01, 32.0
49.50, 19.9

Cell: 7.080 3.656 9.408 Å, 90.00 97.49 90.00°
Positions (direct):
Ac (0.221, 0.000, 0.161)
Ac (0.779, 0.000, 0.839)
Pa (0.000, 0.000, 0.500)
Pa (0.241, 0.500, 0.793)
Pa (0.759, 0.500, 0.207)
N (0.054, 0.500, 0.340)
N (0.138, 0.000, 0.904)
N (0.267, 0.000, 0.648)
N (0.444, 0.500, 0.052)
N (0.556, 0.500, 0.948)
N (0.733, 0.000, 0.352)
N (0.862, 0.000, 0.096)
N (0.946, 0.500, 0.660)

***

2.
Simulated XRD peak list of Cu2H3Pd4 for copper Kα, from a PBE-relaxed structure.
Neutral-atom scattering factors, no anomalous dispersion.

Top 10 peaks for 10 to 80 degrees two-theta, by angle:
2θ/deg, intensity
26.14, 42.2
32.88, 36.1
33.44, 91.9
35.49, 47.3
39.17, 20.4
39.65, 52.8
42.48, 100.0
47.07, 74.4
47.60, 78.3
58.61, 45.0

Cell: 7.469 7.469 7.469 Å, 158.92 137.22 48.16°
Positions (direct):
Cu (0.236, 0.236, 0.000)
Cu (0.764, 0.764, 0.000)
H (0.000, 0.500, 0.500)
H (0.402, 0.902, 0.500)
H (0.598, 0.098, 0.500)
Pd (0.148, 0.398, 0.750)
Pd (0.351, 0.602, 0.750)
Pd (0.649, 0.398, 0.250)
Pd (0.852, 0.602, 0.250)

***

3.
Simulated XRD peak list of Dy2V2GaRu5 for copper Kα, from a PBE-relaxed structure.
Neutral-atom scattering factors, no anomalous dispersion.

Top 10 peaks for 10 to 80 degrees two-theta, by angle:
2θ/deg, intensity
34.25, 38.7
36.19, 70.4
37.28, 30.4
37.58, 20.8
39.38, 18.8
39.66, 100.0
42.63, 27.9
57.77, 16.2
65.29, 14.1
70.10, 21.6

Cell: 10.233 10.233 3.192 Å, 90.00 90.00 90.00°
Positions (direct):
Dy (0.173, 0.327, 0.000)
Dy (0.327, 0.827, 0.000)
Dy (0.673, 0.173, 0.000)
Dy (0.827, 0.673, 0.000)
V (0.129, 0.629, 0.000)
V (0.371, 0.129, 0.000)
V (0.629, 0.871, 0.000)
V (0.871, 0.371, 0.000)
Ga (0.000, 0.000, 0.000)
Ga (0.500, 0.500, 0.000)
Ru (0.000, 0.500, 0.500)
Ru (0.065, 0.799, 0.500)
Ru (0.201, 0.065, 0.500)
Ru (0.299, 0.565, 0.500)
Ru (0.435, 0.299, 0.500)
Ru (0.500, 0.000, 0.500)
Ru (0.565, 0.701, 0.500)
Ru (0.701, 0.435, 0.500)
Ru (0.799, 0.935, 0.500)
Ru (0.935, 0.201, 0.500)

***

4.
Simulated XRD peak list of PuBSe3 for copper Kα, from a PBE-relaxed structure.
Neutral-atom scattering factors, no anomalous dispersion.

Top 10 peaks for 10 to 80 degrees two-theta, by angle:
2θ/deg, intensity
12.14, 100.0
14.00, 15.5
17.97, 14.3
21.74, 27.6
29.16, 20.6
30.48, 26.3
34.05, 18.0
35.70, 17.6
42.34, 12.6
42.95, 13.1

Cell: 8.807 8.807 8.807 Å, 68.20 133.03 133.55°
Positions (direct):
Pu (0.060, 0.250, 0.310)
Pu (0.940, 0.750, 0.690)
B (0.537, 0.317, 0.720)
B (0.597, 0.817, 0.280)
Se (0.198, 0.610, 0.088)
Se (0.522, 0.110, 0.912)
Se (0.530, 0.304, 0.495)
Se (0.530, 0.535, 0.726)
Se (0.809, 0.035, 0.505)
Se (0.809, 0.804, 0.274)